No. 1
Calculated X-ray diffraction stick pattern
Compound: Li3CoSn6
Radiation: Cu Kα, 1.54184 Å
Structure: a DFT-relaxed cell (GGA-PBE, Alexandria)
No peak broadening, texture or thermal motion is included.

Structure:
```
Li3CoSn6
1.0
7.1948 0.0000 0.0000
0.0000 7.2758 0.0000
-5.2014 0.0000 8.4158
Li Co Sn
6 2 12
Cartesian
0.0000 0.0000 0.0000
-2.6007 3.6379 4.2079
-2.4863 1.2337 6.5952
0.1144 2.4042 2.3872
1.8790 4.8716 6.0286
4.4797 6.0421 1.8207
0.9967 0.0000 4.2079
3.5974 3.6379 0.0000
-1.4642 0.8918 3.9113
-4.0649 2.7461 8.1192
-0.1393 5.1445 3.3748
-2.7400 5.7691 7.5827
2.0544 0.3402 1.8912
-0.5463 3.2977 6.0992
2.5397 3.9781 2.3167
-0.0610 6.9356 6.5246
4.7334 1.5066 0.8331
2.1327 2.1312 5.0411
6.0583 4.5297 0.2966
3.4576 6.3840 4.5045
```

Principal peaks in the range 15 to 90 degrees two-theta, in order of rising 2θ:
Position (°2θ)	I_rel
28.29	100
30.70	65
31.50	82
33.13	58
39.28	59
41.59	57

No. 2
Calculated X-ray diffraction stick pattern
Compound: Tl3In3PbI8
Radiation: Cu Kα, 1.54184 Å
Structure: a DFT-relaxed cell (GGA-PBE, Alexandria)
No peak broadening, texture or thermal motion is included.

Structure:
```
Tl3In3PbI8
1.0
8.5737 -5.0063 0.0000
8.5737 5.0063 0.0000
-5.6512 0.0000 8.1624
Tl In Pb I
3 3 1 8
Cartesian
0.0000 0.0000 0.0000
1.4612 2.5032 4.0812
1.4612 -2.5032 4.0812
4.2868 2.5032 0.0000
4.2868 -2.5032 0.0000
5.7481 0.0000 4.0812
-2.8256 0.0000 4.0812
-0.1357 0.0000 5.9940
7.0481 2.6572 2.1802
4.4480 2.6572 5.9822
2.8959 0.0000 2.0195
8.6002 0.0000 6.1429
7.0481 -2.6572 2.1802
4.4480 -2.6572 5.9822
11.6318 0.0000 2.1684
```

Principal peaks in the range 15 to 90 degrees two-theta, in order of rising 2θ:
Position (°2θ)	I_rel
25.27	100
35.88	39
36.19	38
44.39	21
58.34	18
58.78	18

No. 3
Calculated X-ray diffraction stick pattern
Compound: Li3Au
Radiation: Cu Kα, 1.54184 Å
Structure: a DFT-relaxed cell (GGA-PBE, Alexandria)
No peak broadening, texture or thermal motion is included.

Structure:
```
Li3Au
1.0
5.0233 0.0000 0.0000
0.0000 5.0233 0.0000
0.0000 0.0000 5.0233
Li Au
6 2
Cartesian
0.0000 1.2558 2.5117
0.0000 3.7675 2.5117
1.2558 2.5117 0.0000
2.5117 0.0000 1.2558
2.5117 0.0000 3.7675
3.7675 2.5117 0.0000
0.0000 0.0000 0.0000
2.5117 2.5117 2.5117
```

Principal peaks in the range 15 to 90 degrees two-theta, in order of rising 2θ:
Position (°2θ)	I_rel
25.07	100
35.75	23
44.16	51
51.45	15
58.07	21
70.09	26

No. 4
Calculated X-ray diffraction stick pattern
Compound: HAuSe2
Radiation: Cu Kα, 1.54184 Å
Structure: a DFT-relaxed cell (GGA-PBE, Alexandria)
No peak broadening, texture or thermal motion is included.

Structure:
```
HAuSe2
1.0
1.5681 0.9053 7.8601
-1.5681 0.9053 7.8601
0.0000 -1.8107 7.8601
H Au Se
1 1 2
Cartesian
0.0000 0.0000 0.0000
0.0000 0.0000 11.7902
0.0000 0.0000 9.2916
0.0000 0.0000 14.2888
```

Principal peaks in the range 15 to 90 degrees two-theta, in order of rising 2θ:
Position (°2θ)	I_rel
33.20	100
33.87	52
34.22	36
45.41	34
51.31	34
69.91	28